# 1
Theoretical powder diffractogram
Compound: HfCu2Te2S
Radiation: λ = 1.5418 Å (Cu Kα)
Structure: a cell relaxed with GGA-PBE
Intensities are scaled so that the largest is 100.

Unit cell a=20.339 b=3.973 c=7.216 alpha=90.00 beta=101.97 gamma=90.00
Space group C2/m (No. 12)
One atom of each set of equivalent atoms:
Hf (0.143, 0.000, 0.039) [4 per cell]
Cu (0.052, 0.500, 0.150) [4 per cell]
Cu (0.210, 0.000, 0.424) [4 per cell]
Te (0.073, 0.500, 0.794) [4 per cell]
Te (0.250, 0.000, 0.786) [4 per cell]
S (0.094, 0.000, 0.313) [4 per cell]

Top 6 peaks for 2θ from 5° to 70°, low angle first:
- 12.54 deg, d = 7.059 Å, I = 100, hkl 0 0 1
- 19.58 deg, d = 4.533 Å, I = 50, hkl 4 0 -1
- 26.15 deg, d = 3.408 Å, I = 73, hkl 3 1 0
- 30.31 deg, d = 2.949 Å, I = 82, hkl 3 1 1
- 38.92 deg, d = 2.314 Å, I = 63, hkl 7 1 -1
- 44.15 deg, d = 2.051 Å, I = 47, hkl 1 1 -3

# 2
Theoretical powder diffractogram
Compound: Ba6Fe8S15
Radiation: λ = 1.5418 Å (Cu Kα)
Structure: a cell relaxed with GGA-PBE
Intensities are scaled so that the largest is 100.

Unit cell a=11.399 b=11.399 c=10.066 alpha=90.00 beta=90.00 gamma=90.00
Space group I4/m (No. 87)
One atom of each set of equivalent atoms:
Ba (0.000, 0.000, 0.197) [4 per cell]
Ba (0.133, 0.251, 0.500) [8 per cell]
Fe (0.058, 0.354, 0.134) [16 per cell]
S (0.000, 0.000, 0.500) [2 per cell]
S (0.000, 0.500, 0.000) [4 per cell]
S (0.079, 0.724, 0.270) [16 per cell]
S (0.096, 0.206, 0.000) [8 per cell]

Top 6 peaks for 2θ from 5° to 70°, low angle first:
- 23.58 deg, d = 3.773 Å, I = 29, hkl 2 0 2
- 24.70 deg, d = 3.605 Å, I = 51, hkl 1 3 0
- 30.50 deg, d = 2.931 Å, I = 100, hkl 3 1 2
- 31.93 deg, d = 2.803 Å, I = 35, hkl 1 2 3
- 39.15 deg, d = 2.301 Å, I = 38, hkl 3 2 3
- 51.00 deg, d = 1.791 Å, I = 42, hkl 2 4 4

# 3
Theoretical powder diffractogram
Compound: Ac2Ta
Radiation: λ = 1.5418 Å (Cu Kα)
Structure: a cell relaxed with GGA-PBE
Intensities are scaled so that the largest is 100.

Unit cell a=12.806 b=12.806 c=12.806 alpha=90.00 beta=90.00 gamma=90.00
Space group Fd-3m (No. 227, origin choice 2)
One atom of each set of equivalent atoms:
Ac (0.000, 0.000, 0.000) [16 per cell]
Ta (0.125, 0.125, 0.125) [8 per cell]

Top 6 peaks for 2θ from 5° to 70°, low angle first:
- 11.97 deg, d = 7.393 Å, I = 100, hkl 1 1 1
- 24.07 deg, d = 3.697 Å, I = 33, hkl 2 2 2
- 30.43 deg, d = 2.938 Å, I = 35, hkl 3 3 1
- 39.82 deg, d = 2.264 Å, I = 27, hkl 4 4 0
- 41.73 deg, d = 2.165 Å, I = 30, hkl 5 3 1
- 47.07 deg, d = 1.931 Å, I = 17, hkl 6 2 2

# 4
Theoretical powder diffractogram
Compound: Sr7Os4O19
Radiation: λ = 1.5418 Å (Cu Kα)
Structure: a cell relaxed with GGA-PBE
Intensities are scaled so that the largest is 100.

Unit cell a=13.643 b=5.533 c=10.386 alpha=90.00 beta=98.58 gamma=90.00
Space group C2/m (No. 12)
One atom of each set of equivalent atoms:
Sr (0.000, 0.000, 0.000) [2 per cell]
Sr (0.082, 0.000, 0.664) [4 per cell]
Sr (0.142, 0.500, 0.459) [4 per cell]
Sr (0.213, 0.500, 0.091) [4 per cell]
Os (0.033, 0.500, 0.825) [4 per cell]
Os (0.168, 0.000, 0.279) [4 per cell]
O (0.000, 0.500, 0.000) [2 per cell]
O (0.046, 0.500, 0.646) [4 per cell]
O (0.070, 0.251, 0.215) [8 per cell]
O (0.105, 0.000, 0.437) [4 per cell]
O (0.126, 0.252, 0.874) [8 per cell]
O (0.200, 0.000, 0.110) [4 per cell]
O (0.242, 0.257, 0.655) [8 per cell]

Top 6 peaks for 2θ from 5° to 70°, low angle first:
- 19.81 deg, d = 4.481 Å, I = 18, hkl 1 1 1
- 29.07 deg, d = 3.071 Å, I = 43, hkl 4 0 1
- 29.23 deg, d = 3.055 Å, I = 81, hkl 3 1 -2
- 32.30 deg, d = 2.771 Å, I = 100, hkl 0 2 0
- 44.08 deg, d = 2.054 Å, I = 63, hkl 4 2 1
- 55.79 deg, d = 1.648 Å, I = 27, hkl 3 3 -2

# 5
Theoretical powder diffractogram
Compound: Sm2Te5
Radiation: λ = 1.5418 Å (Cu Kα)
Structure: a cell relaxed with GGA-PBE
Intensities are scaled so that the largest is 100.

Unit cell a=4.410 b=44.763 c=4.411 alpha=90.00 beta=90.00 gamma=90.00
Space group Cmcm (No. 63)
One atom of each set of equivalent atoms:
Sm (0.000, 0.100, 0.250) [4 per cell]
Sm (0.000, 0.306, 0.250) [4 per cell]
Te (0.000, 0.044, 0.750) [4 per cell]
Te (0.000, 0.174, 0.250) [4 per cell]
Te (0.000, 0.250, 0.750) [4 per cell]
Te (0.000, 0.378, 0.250) [4 per cell]
Te (0.000, 0.456, 0.750) [4 per cell]

Top 6 peaks for 2θ from 5° to 70°, low angle first:
- 27.90 deg, d = 3.197 Å, I = 37, hkl 0 14 0
- 30.35 deg, d = 2.945 Å, I = 100, hkl 1 5 1
- 33.93 deg, d = 2.642 Å, I = 57, hkl 1 9 1
- 36.32 deg, d = 2.474 Å, I = 39, hkl 1 15 0
- 40.92 deg, d = 2.205 Å, I = 58, hkl 2 0 0
- 50.26 deg, d = 1.815 Å, I = 29, hkl 2 14 0

# 6
Theoretical powder diffractogram
Compound: LaNdTlPd2
Radiation: λ = 1.5418 Å (Cu Kα)
Structure: a cell relaxed with GGA-PBE
Intensities are scaled so that the largest is 100.

Unit cell a=3.867 b=4.216 c=15.423 alpha=90.00 beta=90.00 gamma=90.00
Space group Amm2 (No. 38)
One atom of each set of equivalent atoms:
La (0.000, 0.000, 0.000) [2 per cell]
Nd (0.000, 0.000, 0.734) [2 per cell]
Tl (0.500, 0.000, 0.365) [2 per cell]
Pd (0.500, 0.000, 0.176) [2 per cell]
Pd (0.500, 0.000, 0.557) [2 per cell]

Top 6 peaks for 2θ from 5° to 70°, low angle first:
- 31.94 deg, d = 2.802 Å, I = 100, hkl 1 1 1
- 32.80 deg, d = 2.730 Å, I = 51, hkl 1 0 4
- 36.07 deg, d = 2.490 Å, I = 66, hkl 0 1 5
- 42.90 deg, d = 2.108 Å, I = 25, hkl 0 2 0
- 55.04 deg, d = 1.669 Å, I = 24, hkl 1 2 4
- 60.64 deg, d = 1.527 Å, I = 22, hkl 2 1 5

# 7
Theoretical powder diffractogram
Compound: NdUBr6
Radiation: λ = 1.5418 Å (Cu Kα)
Structure: a cell relaxed with GGA-PBE
Intensities are scaled so that the largest is 100.

Unit cell a=9.255 b=4.100 c=13.589 alpha=90.00 beta=90.00 gamma=90.00
Space group Amm2 (No. 38)
One atom of each set of equivalent atoms:
Nd (0.000, 0.000, 0.000) [2 per cell]
U (0.500, 0.000, 0.480) [2 per cell]
Br (0.000, 0.000, 0.652) [2 per cell]
Br (0.183, 0.000, 0.392) [4 per cell]
Br (0.316, 0.000, 0.089) [4 per cell]
Br (0.500, 0.000, 0.828) [2 per cell]

Top 6 peaks for 2θ from 5° to 70°, low angle first:
- 13.03 deg, d = 6.794 Å, I = 96, hkl 0 0 2
- 30.96 deg, d = 2.888 Å, I = 100, hkl 1 1 3
- 31.86 deg, d = 2.809 Å, I = 36, hkl 3 0 2
- 37.06 deg, d = 2.426 Å, I = 56, hkl 3 1 1
- 41.02 deg, d = 2.200 Å, I = 30, hkl 1 1 5
- 44.54 deg, d = 2.034 Å, I = 36, hkl 2 0 6

# 8
Theoretical powder diffractogram
Compound: CuH6C10I2Br4N2
Radiation: λ = 1.5418 Å (Cu Kα)
Structure: a cell relaxed with GGA-PBE
Intensities are scaled so that the largest is 100.

Unit cell a=6.428 b=8.571 c=16.331 alpha=90.00 beta=105.44 gamma=90.00
Space group P2_1/c (No. 14)
One atom of each set of equivalent atoms:
Cu (0.000, 0.000, 0.000) [2 per cell]
H (0.162, 0.091, 0.683) [4 per cell]
H (0.197, 0.538, 0.917) [4 per cell]
H (0.375, 0.642, 0.613) [4 per cell]
C (0.068, 0.048, 0.407) [4 per cell]
C (0.101, 0.191, 0.450) [4 per cell]
C (0.133, 0.519, 0.148) [4 per cell]
C (0.252, 0.732, 0.610) [4 per cell]
C (0.296, 0.631, 0.157) [4 per cell]
I (0.396, 0.103, 0.259) [4 per cell]
Br (0.113, 0.605, 0.376) [4 per cell]
Br (0.375, 0.246, 0.522) [4 per cell]
N (0.055, 0.703, 0.558) [4 per cell]

Top 6 peaks for 2θ from 5° to 70°, low angle first:
- 21.49 deg, d = 4.135 Å, I = 100, hkl 0 2 1
- 25.57 deg, d = 3.484 Å, I = 86, hkl 1 1 -4
- 30.69 deg, d = 2.914 Å, I = 44, hkl 2 1 0
- 32.65 deg, d = 2.742 Å, I = 63, hkl 2 1 1
- 35.19 deg, d = 2.550 Å, I = 35, hkl 1 3 -2
- 43.78 deg, d = 2.068 Å, I = 35, hkl 0 4 2